Diffraction record for LiAl2Cu2O6. The X-ray powder pattern is simulated, not measured: it uses a structure optimized by DFT (GGA-PBE) and Cu Kα (weighted mean of Kα1 and Kα2).
No peak broadening, texture or thermal motion is included.

Main lines, low angle first (2θ from 5° to 70°):
two_theta, d [Å], I_rel
6.6, 13.313, 38
13.3, 6.657, 45
26.8, 3.328, 37
34.8, 2.580, 100
36.7, 2.446, 31
39.8, 2.263, 29
48.7, 1.871, 19
54.1, 1.696, 23
60.0, 1.541, 22
61.0, 1.519, 36

Lattice parameters (Å, degrees): 3.0372 3.0372 13.3130 90.00 90.00 120.00
Space group P3m1 (No. 156)
Asymmetric unit:
Li (0.0000, 0.0000, 0.0000) x1
Al (0.3333, 0.6667, 0.3861) x1
Al (0.3333, 0.6667, 0.8226) x1
Cu (0.0000, 0.0000, 0.6046) x1
Cu (0.6667, 0.3333, 0.1656) x1
O (0.0000, 0.0000, 0.4539) x1
O (0.0000, 0.0000, 0.7571) x1
O (0.3333, 0.6667, 0.0974) x1
O (0.3333, 0.6667, 0.6078) x1
O (0.6667, 0.3333, 0.3156) x1
O (0.6667, 0.3333, 0.8983) x1